Record 1
This entry pairs a crystal structure of Ca3VCl with its theoretical powder diffraction line list. Radiation: Cu Ka. Structure: DFT lattice parameters and positions (GGA-PBE).
Peak positions follow from Bragg's law for the DFT cell and can differ from measured ones.

Atomic structure:
Lattice parameters (Å, degrees): 5.411 5.411 5.411 90.00 90.00 90.00
Space group Pm-3m (No. 221)
Unique sites:
Ca: 0.000 0.000 0.500 x3
V: 0.500 0.500 0.500 x1
Cl: 0.000 0.000 0.000 x1

Peak list (12 most intense, 5° ≤ 2θ ≤ 70°, low angle first)
index, 2θ (°), Rel. int.
1 0 0, 16.38, 12
1 1 0, 23.25, 23
1 1 1, 28.57, 88
2 0 0, 33.11, 100
2 1 0, 37.16, 5
2 1 1, 40.85, 9
2 2 0, 47.53, 65
3 1 0, 53.56, 4
3 1 1, 56.40, 34
2 2 2, 59.15, 21
3 2 1, 64.43, 4
4 0 0, 69.49, 9

Record 2
This entry pairs a crystal structure of Ca2ScTlCl8 with its theoretical powder diffraction line list. Radiation: Cu Ka. Structure: DFT lattice parameters and positions (GGA-PBE).
Peak positions follow from Bragg's law for the DFT cell and can differ from measured ones.

Atomic structure:
Lattice parameters (Å, degrees): 6.279 8.643 6.530 90.00 90.84 90.00
Space group P2/m (No. 10)
Unique sites:
Ca: 0.000 0.249 0.000 x2
Sc: 0.500 0.000 0.500 x1
Tl: 0.500 0.500 0.500 x1
Cl: 0.224 0.500 0.876 x2
Cl: 0.241 0.000 0.810 x2
Cl: 0.275 0.201 0.332 x4

Peak list (12 most intense, 5° ≤ 2θ ≤ 70°, low angle first)
index, 2θ (°), Rel. int.
0 0 1, 13.56, 36
1 0 0, 14.11, 41
1 1 0, 17.46, 35
1 0 -1, 19.47, 100
1 0 1, 19.76, 89
1 2 0, 25.02, 72
1 2 1, 28.66, 86
1 0 -2, 30.68, 39
1 2 -2, 37.21, 38
2 2 -1, 37.86, 56
2 2 1, 38.17, 58
0 2 3, 46.70, 71

Record 3
This entry pairs a crystal structure of Cr4Ir7Ru with its theoretical powder diffraction line list. Radiation: Cu Ka. Structure: DFT lattice parameters and positions (GGA-PBE).
Peak positions follow from Bragg's law for the DFT cell and can differ from measured ones.

Atomic structure:
Lattice parameters (Å, degrees): 4.895 5.055 7.055 90.20 104.29 95.04
Space group P-1 (No. 2)
Unique sites:
Cr: 0.137 0.168 0.226 x2
Cr: 0.310 0.644 0.788 x2
Ir: 0.016 0.253 0.553 x2
Ir: 0.206 0.659 0.132 x2
Ir: 0.300 0.146 0.917 x2
Ir: 0.500 0.500 0.500 x1
Ru: 0.500 0.000 0.500 x1

Peak list (12 most intense, 5° ≤ 2θ ≤ 70°, low angle first)
index, 2θ (°), Rel. int.
0 1 1, 22.21, 35
0 0 2, 26.08, 33
2 0 -1, 37.06, 24
1 -1 2, 39.26, 22
0 0 3, 39.56, 31
-1 2 1, 39.94, 35
2 0 -2, 40.70, 38
1 2 0, 42.20, 74
1 -2 1, 42.50, 69
2 0 1, 43.51, 100
1 1 -3, 43.79, 30
0 1 3, 44.06, 41